Diffraction record for MgAlMoF2. The powder XRD pattern is theoretical, not measured: it uses the PBE+U geometry in Alexandria and λ = 1.5418 Å (Cu Kα).
Peak positions follow from Bragg's law for the DFT cell and can differ from measured ones.

Structure:
```
MgAlMoF2
1.0
3.792 0.000 0.000
0.000 3.792 0.000
0.000 0.000 6.320
Mg Al Mo F
1 1 1 2
direct
0.000 0.000 0.000
0.000 0.000 0.500
0.500 0.500 0.000
0.000 0.500 0.500
0.500 0.000 0.500
```

Largest 8 diffraction maxima, in order of rising 2θ, 2θ from 10° to 90°:
6.320 Å, 14.01°, I 362, (0 0 1); 3.251 Å, 27.43°, I 1000, (1 0 1); 3.160 Å, 28.24°, I 865, (0 0 2); 2.681 Å, 33.42°, I 367, (1 1 0); 2.468 Å, 36.40°, I 872, (1 1 1); 2.044 Å, 44.31°, I 339, (1 1 2); 1.896 Å, 47.99°, I 366, (2 0 0); 1.626 Å, 56.62°, I 429, (2 0 2)